Diffraction record for DyEr2Pt8. The powder XRD pattern is calculated, not measured: it uses the PBE geometry in OQMD and Cu Kα, 1.54184 Å.

Structural model:
Cell: 13.4175 4.2863 9.7137 Å, 90.00 130.40 90.00°
Space group C2/m (No. 12)
Symmetry-distinct sites (fractional):
Dy 0.0000 0.0000 0.0000
Er 0.1992 0.0000 0.8159
Pt 0.0694 0.0000 0.3530
Pt 0.0704 0.5000 0.8369
Pt 0.1347 0.5000 0.5816
Pt 0.1859 0.5000 0.3328

Most intense lines, 15 to 90 degrees two-theta, in order of falling intensity:
two_theta	intensity	(hkl)
34.83	100.0	3 1 -3
41.41	90.6	3 1 1
42.16	76.1	0 2 0
40.44	71.0	5 1 -3
37.85	55.2	1 1 -3
43.02	53.2	5 1 -1